Record 1
Theoretical X-ray diffraction stick pattern
Compound: Pa3BN2O6
Radiation: Cu Ka
Structure: a crystal structure in Alexandria, relaxed with PBE

Unit cell a=8.094 b=10.731 c=3.672 alpha=90.00 beta=90.00 gamma=90.00
Space group Cmmm (No. 65)
Asymmetric unit:
Pa 0.000 0.000 0.000 (multiplicity 2)
Pa 0.250 0.250 0.500 (multiplicity 4)
B 0.000 0.500 0.500 (multiplicity 2)
N 0.000 0.133 0.500 (multiplicity 4)
O 0.000 0.383 0.500 (multiplicity 4)
O 0.241 0.130 0.000 (multiplicity 8)

Principal peaks in the range 2θ = 10–90°, by angle:
| 2θ (°) | d/Å | I/Imax | h k l |
| --- | --- | --- | --- |
| 13.70 | 6.462 | 47 | 1 1 0 |
| 16.52 | 5.366 | 17 | 0 2 0 |
| 27.61 | 3.231 | 100 | 2 2 0 |
| 27.94 | 3.193 | 24 | 1 1 1 |
| 29.47 | 3.031 | 78 | 0 2 1 |
| 32.93 | 2.720 | 39 | 2 0 1 |
| 33.40 | 2.683 | 20 | 0 4 0 |
| 44.79 | 2.023 | 19 | 4 0 0 |
| 47.61 | 1.910 | 60 | 2 4 1 |
| 49.65 | 1.836 | 14 | 0 0 2 |
| 54.53 | 1.683 | 29 | 4 2 1 |
| 57.75 | 1.596 | 26 | 2 2 2 |



Record 2
Theoretical X-ray diffraction stick pattern
Compound: UNiB4
Radiation: Cu Ka
Structure: a crystal structure in Alexandria, relaxed with PBE

Unit cell a=7.470 b=7.470 c=8.495 alpha=90.00 beta=90.00 gamma=90.00
Space group I4/mmm (No. 139)
Asymmetric unit:
U 0.000 0.000 0.196 (multiplicity 4)
U 0.000 0.500 0.250 (multiplicity 4)
Ni 0.000 0.227 0.500 (multiplicity 8)
B 0.111 0.275 0.000 (multiplicity 16)
B 0.232 0.232 0.345 (multiplicity 16)

Principal peaks in the range 2θ = 10–90°, by angle:
| 2θ (°) | d/Å | I/Imax | h k l |
| --- | --- | --- | --- |
| 20.92 | 4.247 | 24 | 0 0 2 |
| 23.82 | 3.735 | 100 | 2 0 0 |
| 28.71 | 3.109 | 22 | 2 1 1 |
| 31.91 | 2.805 | 96 | 2 0 2 |
| 33.90 | 2.645 | 65 | 2 2 0 |
| 40.21 | 2.243 | 95 | 2 2 2 |
| 48.74 | 1.868 | 44 | 4 0 0 |
| 54.96 | 1.671 | 28 | 4 2 0 |
| 59.46 | 1.555 | 32 | 4 2 2 |
| 71.40 | 1.321 | 23 | 4 4 0 |
| 71.89 | 1.313 | 23 | 3 2 5 |
| 85.29 | 1.138 | 21 | 6 2 2 |



Record 3
Theoretical X-ray diffraction stick pattern
Compound: Tl3Ag6Se5
Radiation: Cu Ka
Structure: a crystal structure in Alexandria, relaxed with PBE

Unit cell a=4.295 b=13.406 c=11.814 alpha=90.00 beta=90.00 gamma=90.00
Space group Pmmn (No. 59, origin choice 2)
Asymmetric unit:
Tl 0.250 0.099 0.249 (multiplicity 4)
Tl 0.250 0.750 0.251 (multiplicity 2)
Ag 0.250 0.056 0.877 (multiplicity 4)
Ag 0.250 0.250 0.009 (multiplicity 2)
Ag 0.250 0.250 0.516 (multiplicity 2)
Ag 0.250 0.583 0.497 (multiplicity 4)
Se 0.250 0.077 0.651 (multiplicity 4)
Se 0.250 0.620 0.992 (multiplicity 4)
Se 0.250 0.750 0.631 (multiplicity 2)

Principal peaks in the range 2θ = 10–90°, by angle:
| 2θ (°) | d/Å | I/Imax | h k l |
| --- | --- | --- | --- |
| 30.25 | 2.954 | 39 | 0 3 3 |
| 30.80 | 2.903 | 32 | 1 0 3 |
| 32.65 | 2.743 | 100 | 1 3 2 |
| 40.37 | 2.234 | 23 | 0 6 0 |
| 42.08 | 2.147 | 24 | 2 0 0 |
| 43.32 | 2.089 | 15 | 0 3 5 |
| 43.72 | 2.070 | 13 | 1 0 5 |
| 52.69 | 1.737 | 17 | 2 3 3 |
| 55.30 | 1.661 | 17 | 1 3 6 |
| 59.73 | 1.548 | 15 | 2 6 0 |
| 61.98 | 1.497 | 10 | 2 3 5 |
| 70.94 | 1.328 | 10 | 3 3 2 |



Record 4
Theoretical X-ray diffraction stick pattern
Compound: Na2CaZnSb2
Radiation: Cu Ka
Structure: a crystal structure in Alexandria, relaxed with PBE

Unit cell a=4.633 b=8.956 c=7.787 alpha=90.00 beta=90.00 gamma=90.00
Space group Pmc2_1 (No. 26)
Asymmetric unit:
Na 0.000 0.085 0.000 (multiplicity 2)
Na 0.500 0.160 0.321 (multiplicity 2)
Ca 0.500 0.455 0.972 (multiplicity 2)
Zn 0.000 0.322 0.620 (multiplicity 2)
Sb 0.000 0.380 0.253 (multiplicity 2)
Sb 0.500 0.176 0.717 (multiplicity 2)

Principal peaks in the range 2θ = 10–90°, by angle:
| 2θ (°) | d/Å | I/Imax | h k l |
| --- | --- | --- | --- |
| 15.08 | 5.876 | 34 | 0 1 1 |
| 21.60 | 4.115 | 42 | 1 1 0 |
| 22.88 | 3.887 | 100 | 0 0 2 |
| 24.47 | 3.638 | 66 | 1 1 1 |
| 30.03 | 2.975 | 33 | 1 2 1 |
| 31.64 | 2.828 | 92 | 1 1 2 |
| 35.78 | 2.509 | 75 | 1 3 0 |
| 38.88 | 2.317 | 48 | 2 0 0 |
| 40.16 | 2.245 | 37 | 0 2 3 |
| 41.12 | 2.195 | 45 | 1 1 3 |
| 42.88 | 2.109 | 33 | 1 3 2 |
| 45.59 | 1.990 | 32 | 2 0 2 |



Record 5
Theoretical X-ray diffraction stick pattern
Compound: Ac2Si3Ag2
Radiation: Cu Ka
Structure: a crystal structure in Alexandria, relaxed with PBE

Unit cell a=4.701 b=19.240 c=7.175 alpha=90.00 beta=90.00 gamma=90.00
Space group Cmcm (No. 63)
Asymmetric unit:
Ac 0.000 0.053 0.250 (multiplicity 4)
Ac 0.000 0.158 0.750 (multiplicity 4)
Si 0.000 0.222 0.250 (multiplicity 4)
Si 0.000 0.445 0.080 (multiplicity 8)
Ag 0.000 0.317 0.556 (multiplicity 8)

Principal peaks in the range 2θ = 10–90°, by angle:
| 2θ (°) | d/Å | I/Imax | h k l |
| --- | --- | --- | --- |
| 19.44 | 4.567 | 22 | 1 1 0 |
| 22.25 | 3.995 | 29 | 0 4 1 |
| 23.09 | 3.853 | 19 | 1 1 1 |
| 26.57 | 3.355 | 25 | 1 3 1 |
| 30.54 | 2.928 | 22 | 0 6 1 |
| 31.72 | 2.821 | 75 | 1 1 2 |
| 32.56 | 2.750 | 100 | 1 5 1 |
| 34.42 | 2.606 | 22 | 1 3 2 |
| 38.29 | 2.351 | 34 | 2 0 0 |
| 42.20 | 2.142 | 34 | 0 4 3 |
| 53.57 | 1.711 | 25 | 1 9 2 |
| 58.28 | 1.583 | 26 | 2 4 3 |



Record 6
Theoretical X-ray diffraction stick pattern
Compound: MnGaW3
Radiation: Cu Ka
Structure: a crystal structure in Alexandria, relaxed with PBE

Unit cell a=4.479 b=4.479 c=4.479 alpha=90.00 beta=90.00 gamma=90.00
Space group Pm-3m (No. 221)
Asymmetric unit:
Mn 0.000 0.000 0.000 (multiplicity 1)
Ga 0.500 0.500 0.500 (multiplicity 1)
W 0.000 0.000 0.500 (multiplicity 3)

Principal peaks in the range 2θ = 10–90°, by angle:
| 2θ (°) | d/Å | I/Imax | h k l |
| --- | --- | --- | --- |
| 19.82 | 4.479 | 26 | 1 0 0 |
| 28.18 | 3.167 | 2 | 1 1 0 |
| 34.69 | 2.586 | 100 | 1 1 1 |
| 40.27 | 2.239 | 72 | 2 0 0 |
| 45.27 | 2.003 | 12 | 2 1 0 |
| 49.87 | 1.828 | 1 | 2 1 1 |
| 58.27 | 1.583 | 49 | 2 2 0 |
| 62.18 | 1.493 | 6 | 3 0 0 |
| 69.62 | 1.350 | 41 | 3 1 1 |
| 73.21 | 1.293 | 16 | 2 2 2 |
| 76.72 | 1.242 | 3 | 3 2 0 |
| 87.03 | 1.120 | 8 | 4 0 0 |